(1)
This entry pairs a crystal structure of In2NiPt2 with its computed X-ray diffraction stick pattern. Radiation: CuKα. Structure: a DFT-relaxed cell (GGA-PBE, Alexandria).
Neutral-atom scattering factors, no anomalous dispersion.

Largest 12 diffraction maxima, sorted by position, 5 to 70 degrees two-theta:
d 4.790, rel. 133; d 3.950, rel. 94; d 3.387, rel. 51; d 3.030, rel. 56; d 2.404, rel. 1000; d 2.142, rel. 259; d 1.975, rel. 148; d 1.883, rel. 59; d 1.694, rel. 64; d 1.597, rel. 74; d 1.517, rel. 118; d 1.452, rel. 147

Cell and atoms:
```
In2NiPt2
1.0
6.7746 0.0000 0.0000
0.0000 6.7746 0.0000
0.0000 0.0000 3.9496
In Ni Pt
4 2 4
direct
0.1659 0.3341 0.0000
0.3341 0.8341 0.0000
0.6659 0.1659 0.0000
0.8341 0.6659 0.0000
0.0000 0.0000 0.5000
0.5000 0.5000 0.5000
0.1426 0.6426 0.5000
0.3574 0.1426 0.5000
0.6426 0.8574 0.5000
0.8574 0.3574 0.5000
```

(2)
This entry pairs a crystal structure of RbTlGaF6 with its computed X-ray diffraction stick pattern. Radiation: CuKα. Structure: a DFT-relaxed cell (GGA-PBE, Alexandria).
Neutral-atom scattering factors, no anomalous dispersion.

Largest 12 diffraction maxima, sorted by position, 5 to 70 degrees two-theta:
d 5.729, rel. 355; d 5.156, rel. 177; d 3.832, rel. 1000; d 2.977, rel. 405; d 2.641, rel. 215; d 2.351, rel. 257; d 2.064, rel. 467; d 1.845, rel. 277; d 1.791, rel. 115; d 1.719, rel. 143; d 1.474, rel. 104; d 1.387, rel. 106

Cell and atoms:
```
RbTlGaF6
1.0
5.9532 0.0000 0.0000
-2.9766 5.1556 0.0000
0.0000 0.0000 5.7293
Rb Tl Ga F
1 1 1 6
direct
0.0000 0.0000 0.0000
0.3333 0.6667 0.5000
0.6667 0.3333 0.5000
0.4077 0.0596 0.6937
0.4077 0.3481 0.3063
0.6519 0.0596 0.3063
0.6519 0.5923 0.6937
0.9404 0.3481 0.6937
0.9404 0.5923 0.3063
```

(3)
This entry pairs a crystal structure of VBr6 with its computed X-ray diffraction stick pattern. Radiation: CuKα. Structure: a DFT-relaxed cell (GGA-PBE, Alexandria).
Neutral-atom scattering factors, no anomalous dispersion.

Largest 12 diffraction maxima, sorted by position, 5 to 70 degrees two-theta:
d 7.205, rel. 1000; d 7.088, rel. 805; d 5.941, rel. 300; d 3.602, rel. 389; d 3.149, rel. 376; d 3.064, rel. 256; d 2.970, rel. 658; d 2.948, rel. 230; d 2.815, rel. 817; d 2.723, rel. 305; d 2.439, rel. 215; d 2.122, rel. 337

Cell and atoms:
```
VBr6
1.0
10.8921 0.0000 0.0000
0.0000 10.5020 0.0000
0.0000 0.0000 9.6063
V Br
4 24
direct
0.1141 0.2500 0.0695
0.3859 0.7500 0.5695
0.6141 0.2500 0.4305
0.8859 0.7500 0.9305
0.0016 0.5914 0.7757
0.0016 0.9086 0.7757
0.0448 0.7500 0.0920
0.2309 0.0824 0.9795
0.2309 0.4176 0.9795
0.2432 0.2500 0.2919
0.2568 0.7500 0.7919
0.2691 0.5824 0.4795
0.2691 0.9176 0.4795
0.4552 0.2500 0.5920
0.4984 0.0914 0.2757
0.4984 0.4086 0.2757
0.5016 0.5914 0.7243
0.5016 0.9086 0.7243
0.5448 0.7500 0.4080
0.7309 0.0824 0.5205
0.7309 0.4176 0.5205
0.7432 0.2500 0.2081
0.7568 0.7500 0.7081
0.7691 0.5824 0.0205
0.7691 0.9176 0.0205
0.9552 0.2500 0.9080
0.9984 0.0914 0.2243
0.9984 0.4086 0.2243
```

(4)
This entry pairs a crystal structure of Y2BiSb with its computed X-ray diffraction stick pattern. Radiation: CuKα. Structure: a DFT-relaxed cell (GGA-PBE, Alexandria).
Neutral-atom scattering factors, no anomalous dispersion.

Largest 12 diffraction maxima, sorted by position, 5 to 70 degrees two-theta:
d 3.407, rel. 1000; d 2.685, rel. 795; d 2.205, rel. 491; d 2.101, rel. 269; d 1.888, rel. 103; d 1.852, rel. 128; d 1.704, rel. 200; d 1.521, rel. 97; d 1.434, rel. 248; d 1.417, rel. 102; d 1.404, rel. 74; d 1.347, rel. 122

Cell and atoms:
```
Y2BiSb
1.0
8.8303 0.0000 0.0000
0.0000 7.6262 0.0000
0.0000 0.0000 7.5508
Y Bi Sb
8 4 4
direct
0.1191 0.2500 0.0000
0.1191 0.2500 0.5000
0.3689 0.7500 0.0000
0.3689 0.7500 0.5000
0.6311 0.2500 0.0000
0.6311 0.2500 0.5000
0.8809 0.7500 0.0000
0.8809 0.7500 0.5000
0.3750 0.0865 0.2500
0.3750 0.4135 0.7500
0.6250 0.5865 0.2500
0.6250 0.9135 0.7500
0.1247 0.5811 0.2500
0.1247 0.9189 0.7500
0.8753 0.0811 0.2500
0.8753 0.4189 0.7500
```

(5)
This entry pairs a crystal structure of AcPmGaIr with its computed X-ray diffraction stick pattern. Radiation: CuKα. Structure: a DFT-relaxed cell (GGA-PBE, Alexandria).
Neutral-atom scattering factors, no anomalous dispersion.

Largest 12 diffraction maxima, sorted by position, 5 to 70 degrees two-theta:
d 4.431, rel. 138; d 3.015, rel. 1000; d 2.793, rel. 463; d 2.690, rel. 185; d 2.363, rel. 556; d 2.300, rel. 275; d 2.227, rel. 269; d 2.216, rel. 265; d 1.736, rel. 232; d 1.600, rel. 180; d 1.571, rel. 182; d 1.453, rel. 133

Cell and atoms:
```
AcPmGaIr
1.0
4.4310 0.0000 0.0000
0.0000 4.4534 0.0000
0.0000 0.0000 10.7605
Ac Pm Ga Ir
2 2 2 2
direct
0.0000 0.0000 0.0000
0.0000 0.5000 0.5000
0.5000 0.0000 0.2846
0.5000 0.5000 0.7846
0.5000 0.0000 0.5885
0.5000 0.5000 0.0885
0.0000 0.0000 0.7176
0.0000 0.5000 0.2176
```

(6)
This entry pairs a crystal structure of Ac3Mg7Pd4 with its computed X-ray diffraction stick pattern. Radiation: CuKα. Structure: a DFT-relaxed cell (GGA-PBE, Alexandria).
Neutral-atom scattering factors, no anomalous dispersion.

Largest 12 diffraction maxima, sorted by position, 5 to 70 degrees two-theta:
d 5.354, rel. 508; d 4.464, rel. 930; d 4.116, rel. 484; d 3.232, rel. 849; d 3.079, rel. 316; d 2.851, rel. 727; d 2.786, rel. 929; d 2.721, rel. 793; d 2.689, rel. 1000; d 2.295, rel. 341; d 2.229, rel. 647; d 1.783, rel. 278

Cell and atoms:
```
Ac3Mg7Pd4
1.0
8.4625 -2.2289 0.0000
8.4625 2.2289 0.0000
-5.9756 0.0000 8.9462
Ac Mg Pd
3 7 4
direct
0.0000 0.0000 0.0000
0.3046 0.3046 0.2905
0.6954 0.6954 0.7095
0.0000 0.0000 0.5000
0.1665 0.1665 0.4300
0.3219 0.3219 0.9898
0.4870 0.4870 0.7028
0.5130 0.5130 0.2972
0.6781 0.6781 0.0102
0.8335 0.8335 0.5700
0.1100 0.1100 0.8237
0.3383 0.3383 0.7362
0.6617 0.6617 0.2638
0.8900 0.8900 0.1763
```

(7)
This entry pairs a crystal structure of Rb3SiO3 with its computed X-ray diffraction stick pattern. Radiation: CuKα. Structure: a DFT-relaxed cell (GGA-PBE, Alexandria).
Neutral-atom scattering factors, no anomalous dispersion.

Largest 12 diffraction maxima, sorted by position, 5 to 70 degrees two-theta:
d 4.253, rel. 62; d 3.683, rel. 400; d 3.118, rel. 1000; d 2.930, rel. 317; d 2.784, rel. 94; d 2.293, rel. 211; d 2.126, rel. 255; d 2.018, rel. 68; d 1.757, rel. 203; d 1.726, rel. 176; d 1.721, rel. 261; d 1.354, rel. 201

Cell and atoms:
```
Rb3SiO3
1.0
4.2540 -7.3637 0.0000
4.2540 7.3637 0.0000
0.0000 0.0000 5.8608
Rb Si O
6 2 6
direct
0.1734 0.3462 0.7500
0.1729 0.8271 0.7500
0.3462 0.1734 0.2500
0.6538 0.8266 0.7500
0.8271 0.1729 0.2500
0.8266 0.6538 0.2500
0.3332 0.6668 0.2500
0.6668 0.3332 0.7500
0.2243 0.4482 0.2500
0.2238 0.7762 0.2500
0.4482 0.2243 0.7500
0.5518 0.7757 0.2500
0.7762 0.2238 0.7500
0.7757 0.5518 0.7500
```

(8)
This entry pairs a crystal structure of Na5Hg3 with its computed X-ray diffraction stick pattern. Radiation: CuKα. Structure: a DFT-relaxed cell (GGA-PBE, Alexandria).
Neutral-atom scattering factors, no anomalous dispersion.

Largest 12 diffraction maxima, sorted by position, 5 to 70 degrees two-theta:
d 9.787, rel. 258; d 4.504, rel. 440; d 3.484, rel. 482; d 2.756, rel. 1000; d 2.480, rel. 188; d 2.447, rel. 179; d 2.252, rel. 143; d 2.173, rel. 138; d 1.891, rel. 184; d 1.480, rel. 150; d 1.465, rel. 142; d 1.378, rel. 235

Cell and atoms:
```
Na5Hg3
1.0
4.5037 0.0000 0.0000
0.0000 4.9608 0.0000
0.0000 0.0000 9.7873
Na Hg
5 3
direct
0.0000 0.0000 0.0000
0.0000 0.0000 0.5000
0.0000 0.5000 0.2329
0.0000 0.5000 0.7671
0.5000 0.5000 0.5000
0.5000 0.0000 0.2524
0.5000 0.0000 0.7476
0.5000 0.5000 0.0000
```

(9)
This entry pairs a crystal structure of Ta4FeW with its computed X-ray diffraction stick pattern. Radiation: CuKα. Structure: a DFT-relaxed cell (GGA-PBE, Alexandria).
Neutral-atom scattering factors, no anomalous dispersion.

Largest 12 diffraction maxima, sorted by position, 5 to 70 degrees two-theta:
d 3.549, rel. 362; d 3.492, rel. 111; d 3.061, rel. 918; d 2.345, rel. 110; d 2.179, rel. 1000; d 2.174, rel. 496; d 2.155, rel. 462; d 2.149, rel. 915; d 1.772, rel. 130; d 1.530, rel. 471; d 1.376, rel. 115; d 1.361, rel. 91

Cell and atoms:
```
Ta4FeW
1.0
7.5558 0.0000 0.0000
0.0000 4.3477 0.0000
-2.4984 0.0000 6.9840
Ta Fe W
8 2 2
direct
0.1204 0.0000 0.3597
0.1297 0.5000 0.8895
0.3703 0.0000 0.1105
0.3796 0.5000 0.6403
0.6204 0.5000 0.3597
0.6297 0.0000 0.8895
0.8703 0.5000 0.1105
0.8796 0.0000 0.6403
0.0000 0.0000 0.0000
0.5000 0.5000 0.0000
0.0000 0.5000 0.5000
0.5000 0.0000 0.5000
```

(10)
This entry pairs a crystal structure of BaGaPt2 with its computed X-ray diffraction stick pattern. Radiation: CuKα. Structure: a DFT-relaxed cell (GGA-PBE, Alexandria).
Neutral-atom scattering factors, no anomalous dispersion.

Largest 12 diffraction maxima, sorted by position, 5 to 70 degrees two-theta:
d 4.841, rel. 310; d 3.027, rel. 1000; d 2.988, rel. 429; d 2.732, rel. 530; d 2.726, rel. 736; d 2.701, rel. 220; d 2.363, rel. 910; d 2.028, rel. 325; d 2.018, rel. 231; d 1.933, rel. 403; d 1.795, rel. 308; d 1.711, rel. 283

Cell and atoms:
```
BaGaPt2
1.0
6.2918 0.0000 0.0000
0.0000 10.9226 0.0000
-3.0606 0.0000 5.4062
Ba Ga Pt
4 4 8
direct
0.0000 0.1361 0.2500
0.0000 0.8639 0.7500
0.5000 0.3639 0.7500
0.5000 0.6361 0.2500
0.0000 0.4918 0.2500
0.0000 0.5082 0.7500
0.5000 0.0082 0.7500
0.5000 0.9918 0.2500
0.2451 0.3609 0.1070
0.2451 0.6391 0.6070
0.2549 0.1391 0.8930
0.2549 0.8609 0.3930
0.7451 0.1391 0.6070
0.7451 0.8609 0.1070
0.7549 0.3609 0.3930
0.7549 0.6391 0.8930
```

(11)
This entry pairs a crystal structure of Th2MgTlOs with its computed X-ray diffraction stick pattern. Radiation: CuKα. Structure: a DFT-relaxed cell (GGA-PBE, Alexandria).
Neutral-atom scattering factors, no anomalous dispersion.

Largest 12 diffraction maxima, sorted by position, 5 to 70 degrees two-theta:
d 8.296, rel. 616; d 4.148, rel. 225; d 3.401, rel. 460; d 2.918, rel. 468; d 2.907, rel. 1000; d 2.620, rel. 217; d 2.599, rel. 153; d 2.332, rel. 289; d 2.105, rel. 191; d 2.056, rel. 341; d 1.857, rel. 160; d 1.841, rel. 164

Cell and atoms:
```
Th2MgTlOs
1.0
8.5148 0.0000 0.0000
0.0000 4.1125 0.0000
-2.0121 0.0000 8.2968
Th Mg Tl Os
4 2 2 2
direct
0.0075 0.2500 0.3036
0.4016 0.7500 0.6226
0.5984 0.2500 0.3774
0.9925 0.7500 0.6964
0.3397 0.2500 0.9538
0.6603 0.7500 0.0462
0.2845 0.7500 0.1893
0.7155 0.2500 0.8107
0.1985 0.2500 0.6413
0.8015 0.7500 0.3587
```

(12)
This entry pairs a crystal structure of Rb4Ac3GeS8 with its computed X-ray diffraction stick pattern. Radiation: CuKα. Structure: a DFT-relaxed cell (GGA-PBE, Alexandria).
Neutral-atom scattering factors, no anomalous dispersion.

Largest 12 diffraction maxima, sorted by position, 5 to 70 degrees two-theta:
d 7.747, rel. 341; d 3.873, rel. 234; d 3.571, rel. 516; d 3.152, rel. 1000; d 2.297, rel. 369; d 2.167, rel. 352; d 1.976, rel. 144; d 1.891, rel. 215; d 1.786, rel. 185; d 1.576, rel. 112; d 1.444, rel. 146; d 1.378, rel. 155

Cell and atoms:
```
Rb4Ac3GeS8
1.0
4.3333 2.5018 7.7467
-4.3333 2.5018 7.7467
0.0000 -5.0037 7.7467
Rb Ac Ge S
4 3 1 8
direct
0.0000 0.0000 0.0000
0.0000 0.5000 0.5000
0.5000 0.0000 0.5000
0.5000 0.5000 0.0000
0.0000 0.0000 0.5000
0.0000 0.5000 0.0000
0.5000 0.0000 0.0000
0.5000 0.5000 0.5000
0.2360 0.2360 0.2360
0.2565 0.7189 0.7189
0.2811 0.2811 0.7435
0.2811 0.7435 0.2811
0.7189 0.2565 0.7189
0.7189 0.7189 0.2565
0.7435 0.2811 0.2811
0.7640 0.7640 0.7640
```

(13)
This entry pairs a crystal structure of FeNiH with its computed X-ray diffraction stick pattern. Radiation: CuKα. Structure: a DFT-relaxed cell (GGA-PBE, Alexandria).
Neutral-atom scattering factors, no anomalous dispersion.

Largest 5 diffraction maxima, sorted by position, 5 to 70 degrees two-theta:
d 4.214, rel. 8; d 2.247, rel. 240; d 2.107, rel. 262; d 1.982, rel. 1000; d 1.537, rel. 146

Cell and atoms:
```
FeNiH
1.0
2.5940 0.0000 0.0000
-1.2970 2.2465 0.0000
0.0000 0.0000 4.2138
Fe Ni H
1 1 1
direct
0.0000 0.0000 0.0000
0.3333 0.6667 0.5197
0.6667 0.3333 0.2647
```